Starting from a structure optimized by DFT (PBE+U), the X-ray powder pattern of Li4Cr2Si3O10 was calculated for Cu Ka.
Intensities are scaled so that the largest is 100.

Cell and atoms:
```
Li4Cr2Si3O10
1.0
4.648 -2.790 0.000
4.648 2.790 0.000
-2.740 0.000 16.484
Li Cr Si O
8 4 6 20
Direct
0.084 0.298 0.230
0.170 0.335 0.552
0.298 0.084 0.730
0.335 0.170 0.052
0.665 0.830 0.948
0.702 0.916 0.270
0.830 0.665 0.448
0.916 0.702 0.770
0.299 0.522 0.917
0.478 0.701 0.583
0.522 0.299 0.417
0.701 0.478 0.083
0.034 0.844 0.099
0.156 0.966 0.401
0.389 0.611 0.250
0.611 0.389 0.750
0.844 0.034 0.599
0.966 0.156 0.901
0.080 0.127 0.116
0.098 0.281 0.435
0.100 0.699 0.187
0.127 0.080 0.616
0.272 0.596 0.042
0.281 0.098 0.935
0.301 0.900 0.313
0.340 0.427 0.792
0.404 0.728 0.458
0.427 0.340 0.292
0.573 0.660 0.708
0.596 0.272 0.542
0.660 0.573 0.208
0.699 0.100 0.687
0.719 0.902 0.065
0.728 0.404 0.958
0.873 0.920 0.384
0.900 0.301 0.813
0.902 0.719 0.565
0.920 0.873 0.884
```

Most intense lines, 10 to 90 degrees two-theta, sorted by position:
2θ 10.7, I 47; 2θ 18.9, I 65; 2θ 19.4, I 94; 2θ 22.3, I 43; 2θ 23.7, I 47; 2θ 27.4, I 55; 2θ 32.6, I 81; 2θ 33.1, I 100; 2θ 36.1, I 37; 2θ 42.6, I 31